Starting from the GGA-PBE geometry in Alexandria, the powder diffractogram of Pm4ThGe4 was simulated for a wavelength of 1.5418 Å.

Main lines, low angle first (10° ≤ 2θ ≤ 90°):
2θ (°)  Rel. int.  (hkl)
17.5  10  1 0 1
25.8  43  1 2 1
29.9  100  3 1 0
42.7  75  3 1 2
50.6  21  5 0 1
53.0  27  2 4 2
62.0  12  0 0 4
68.3  9  5 0 3
70.3  34  3 1 4
78.2  25  2 4 4

Structural model:
Unit cell a=9.465 b=9.465 c=5.985 alpha=90.00 beta=90.00 gamma=90.00
Space group I4/m (No. 87)
Asymmetric unit:
Pm 0.100 0.698 0.000 x8
Th 0.000 0.000 0.500 x2
Ge 0.101 0.704 0.500 x8